Record 1
ScCoTc2: theoretical X-ray diffraction stick pattern (Cu Kα X-rays), based on the PBE geometry in Alexandria.

Atomic structure:
Lattice parameters (Å, degrees): 2.839 4.274 4.980 90.00 99.49 90.00
Space group Pm (No. 6)
Symmetry-distinct sites (fractional):
Sc 0.000 0.000 0.000 (multiplicity 1)
Co 0.425 0.500 0.821 (multiplicity 1)
Tc 0.389 0.000 0.514 (multiplicity 1)
Tc 0.741 0.500 0.342 (multiplicity 1)

The 10 most intense peaks (10° ≤ 2θ ≤ 90°), by intensity:
| h k l | two_theta | I (rel.) |
| --- | --- | --- |
| 1 1 -1 | 40.31 | 100 |
| 0 1 2 | 42.45 | 93 |
| 0 2 0 | 42.29 | 60 |
| 0 0 1 | 18.06 | 41 |
| 1 0 1 | 39.59 | 38 |
| 1 1 0 | 38.43 | 32 |
| 1 1 1 | 45.12 | 31 |
| 1 2 1 | 59.31 | 22 |
| 1 1 -2 | 49.96 | 21 |
| 0 0 2 | 36.59 | 18 |


Record 2
LiCa6Pt2: theoretical X-ray diffraction stick pattern (Cu Kα X-rays), based on the PBE geometry in Alexandria.

Atomic structure:
Lattice parameters (Å, degrees): 9.681 9.885 11.188 90.00 90.00 90.00
Space group Immm (No. 71)
Symmetry-distinct sites (fractional):
Li 0.000 0.000 0.000 (multiplicity 2)
Li 0.000 0.000 0.500 (multiplicity 2)
Ca 0.000 0.204 0.242 (multiplicity 8)
Ca 0.178 0.500 0.157 (multiplicity 8)
Ca 0.207 0.323 0.500 (multiplicity 8)
Pt 0.000 0.300 0.000 (multiplicity 4)
Pt 0.000 0.500 0.367 (multiplicity 4)

The 10 most intense peaks (10° ≤ 2θ ≤ 90°), by intensity:
| h k l | two_theta | I (rel.) |
| --- | --- | --- |
| 1 1 0 | 12.80 | 100 |
| 0 2 4 | 36.88 | 54 |
| 1 2 1 | 21.70 | 52 |
| 2 3 1 | 33.87 | 40 |
| 2 0 0 | 18.33 | 37 |
| 3 2 1 | 34.14 | 37 |
| 2 1 3 | 31.61 | 30 |
| 1 3 2 | 32.88 | 24 |
| 1 0 3 | 25.59 | 23 |
| 2 2 4 | 41.52 | 17 |


Record 3
Tb4Y2Tm: theoretical X-ray diffraction stick pattern (Cu Kα X-rays), based on the PBE geometry in Alexandria.

Atomic structure:
Lattice parameters (Å, degrees): 3.5847 3.5847 20.0290 90.00 90.00 120.00
Space group P3m1 (No. 156)
Symmetry-distinct sites (fractional):
Tb 0.0000 0.0000 0.0000 (multiplicity 1)
Tb 0.0000 0.0000 0.2808 (multiplicity 1)
Tb 0.6667 0.3333 0.4255 (multiplicity 1)
Tb 0.6667 0.3333 0.7122 (multiplicity 1)
Y 0.3333 0.6667 0.5694 (multiplicity 1)
Y 0.3333 0.6667 0.8560 (multiplicity 1)
Tm 0.3333 0.6667 0.1400 (multiplicity 1)

The 10 most intense peaks (10° ≤ 2θ ≤ 90°), by intensity:
| h k l | two_theta | I (rel.) |
| --- | --- | --- |
| 1 0 3 | 31.79 | 100 |
| 0 1 4 | 33.98 | 87 |
| 0 0 7 | 31.26 | 51 |
| 1 0 1 | 29.11 | 47 |
| 1 1 7 | 61.00 | 45 |
| 1 1 0 | 50.95 | 39 |
| 1 0 10 | 54.52 | 21 |
| 0 1 6 | 39.65 | 19 |
| 0 1 11 | 58.79 | 19 |
| 1 1 14 | 87.18 | 17 |


Record 4
AlGaOs: theoretical X-ray diffraction stick pattern (Cu Kα X-rays), based on the PBE geometry in Alexandria.

Atomic structure:
Lattice parameters (Å, degrees): 3.207 3.207 8.291 90.00 90.00 90.00
Space group I4mm (No. 107)
Symmetry-distinct sites (fractional):
Al 0.000 0.000 0.000 (multiplicity 2)
Ga 0.000 0.000 0.328 (multiplicity 2)
Os 0.000 0.000 0.661 (multiplicity 2)

The 10 most intense peaks (10° ≤ 2θ ≤ 90°), by intensity:
| h k l | two_theta | I (rel.) |
| --- | --- | --- |
| 1 0 3 | 43.22 | 100 |
| 1 0 1 | 29.88 | 65 |
| 1 1 0 | 39.75 | 63 |
| 2 1 3 | 74.55 | 40 |
| 0 0 2 | 21.43 | 37 |
| 1 1 2 | 45.60 | 22 |
| 2 0 0 | 57.48 | 22 |
| 1 1 6 | 81.59 | 16 |
| 2 1 1 | 66.13 | 14 |
| 1 1 4 | 60.52 | 9 |


Record 5
Mg2GePN4: theoretical X-ray diffraction stick pattern (Cu Kα X-rays), based on the PBE geometry in Alexandria.

Atomic structure:
Lattice parameters (Å, degrees): 6.755 5.577 4.978 90.00 90.00 90.00
Space group Pmn2_1 (No. 31)
Symmetry-distinct sites (fractional):
Mg 0.248 0.176 0.000 (multiplicity 4)
Ge 0.000 0.676 0.003 (multiplicity 2)
P 0.000 0.339 0.514 (multiplicity 2)
N 0.000 0.361 0.850 (multiplicity 2)
N 0.000 0.619 0.390 (multiplicity 2)
N 0.199 0.187 0.420 (multiplicity 4)

The 10 most intense peaks (10° ≤ 2θ ≤ 90°), by intensity:
| h k l | two_theta | I (rel.) |
| --- | --- | --- |
| 2 1 1 | 35.94 | 100 |
| 2 1 0 | 30.95 | 62 |
| 0 0 2 | 36.09 | 60 |
| 0 1 1 | 23.96 | 39 |
| 2 3 0 | 56.51 | 38 |
| 0 2 1 | 36.95 | 37 |
| 0 2 0 | 32.10 | 33 |
| 2 1 3 | 64.79 | 31 |
| 2 3 2 | 68.90 | 29 |
| 4 0 0 | 54.35 | 26 |


Record 6
Tb4Nd4Tl: theoretical X-ray diffraction stick pattern (Cu Kα X-rays), based on the PBE geometry in Alexandria.

Atomic structure:
Lattice parameters (Å, degrees): 10.844 10.844 4.954 90.00 90.00 90.00
Space group I4/mmm (No. 139)
Symmetry-distinct sites (fractional):
Tb 0.000 0.337 0.000 (multiplicity 8)
Nd 0.162 0.162 0.500 (multiplicity 8)
Tl 0.000 0.000 0.000 (multiplicity 2)

The 10 most intense peaks (10° ≤ 2θ ≤ 90°), by intensity:
| h k l | two_theta | I (rel.) |
| --- | --- | --- |
| 3 0 1 | 30.62 | 100 |
| 3 3 0 | 35.11 | 35 |
| 6 3 1 | 60.22 | 29 |
| 3 3 2 | 51.37 | 24 |
| 0 0 2 | 36.27 | 16 |
| 3 0 3 | 61.76 | 14 |
| 6 0 0 | 50.50 | 12 |
| 6 0 2 | 63.74 | 12 |
| 6 3 3 | 83.73 | 12 |
| 9 0 1 | 82.37 | 6 |